Record 1
Diffraction record for RbLiTeF6. The powder diffractogram is computed, not measured: it uses a structure optimized by DFT (GGA-PBE) and copper Kα.

Largest 12 diffraction maxima, sorted by position, 2θ = 5–70°:
| hkl | two_theta | d (Å) | Rel. int. |
| --- | --- | --- | --- |
| 0 0 1 | 14.49 | 6.112 | 11.5 |
| 1 1 0 | 18.25 | 4.862 | 26.8 |
| 1 1 1 | 23.38 | 3.805 | 100.0 |
| 2 1 0 | 31.88 | 2.807 | 16.1 |
| 0 1 2 | 34.67 | 2.587 | 11.8 |
| 2 1 -1 | 35.18 | 2.551 | 7.8 |
| 2 0 -1 | 39.91 | 2.259 | 19.4 |
| 1 2 2 | 43.79 | 2.067 | 35.3 |
| 1 1 3 | 48.44 | 1.879 | 11.1 |
| 2 3 1 | 51.94 | 1.761 | 17.0 |
| 3 3 0 | 56.80 | 1.621 | 10.1 |
| 0 2 3 | 59.17 | 1.562 | 9.5 |

```
data_RbLiTeF6
_symmetry_space_group_name_H-M 'P 1'
_symmetry_Int_Tables_number 1
_symmetry_space_group_name_Hall 'P 1'
_cell_length_a 5.6094
_cell_length_b 5.6171
_cell_length_c 6.1122
_cell_angle_alpha 89.96
_cell_angle_beta 89.93
_cell_angle_gamma 60.05
loop_
_atom_site_label
_atom_site_type_symbol
_atom_site_fract_x
_atom_site_fract_y
_atom_site_fract_z
_atom_site_occupancy
Rb1 Rb 0.0000 0.0000 0.0000 1
Li1 Li 0.3336 0.3328 0.5002 1
Te1 Te 0.6666 0.6669 0.5002 1
F1 F 0.3802 0.6194 0.6893 1
F2 F 0.3833 0.9982 0.3092 1
F3 F 0.6191 0.9997 0.6899 1
F4 F 0.6200 0.3826 0.3099 1
F5 F 0.9989 0.3805 0.6892 1
F6 F 0.9990 0.6187 0.3098 1
```

Record 2
Diffraction record for RbUAgSe4. The powder diffractogram is computed, not measured: it uses a structure optimized by DFT (GGA-PBE) and copper Kα.

Largest 12 diffraction maxima, sorted by position, 2θ = 5–70°:
| hkl | two_theta | d (Å) | Rel. int. |
| --- | --- | --- | --- |
| 0 0 1 | 9.91 | 8.929 | 100.0 |
| 0 1 1 | 16.22 | 5.464 | 16.0 |
| 1 1 -1 | 20.26 | 4.383 | 13.2 |
| 1 1 1 | 21.36 | 4.159 | 18.9 |
| 0 2 0 | 25.79 | 3.454 | 26.4 |
| 2 1 1 | 31.61 | 2.830 | 46.8 |
| 0 2 2 | 32.78 | 2.732 | 16.5 |
| 1 1 -3 | 34.35 | 2.611 | 29.0 |
| 2 1 2 | 36.88 | 2.437 | 15.6 |
| 2 2 0 | 37.02 | 2.429 | 13.9 |
| 2 2 -2 | 41.20 | 2.191 | 12.1 |
| 0 4 0 | 53.02 | 1.727 | 10.5 |

```
data_RbUAgSe4
_symmetry_space_group_name_H-M 'P 1 21/m 1'
_symmetry_Int_Tables_number 11
_symmetry_space_group_name_Hall '-P 2yb'
_cell_length_a 6.8566
_cell_length_b 6.9082
_cell_length_c 8.9634
_cell_angle_alpha 90.00
_cell_angle_beta 95.02
_cell_angle_gamma 90.00
loop_
_atom_site_label
_atom_site_type_symbol
_atom_site_fract_x
_atom_site_fract_y
_atom_site_fract_z
_atom_site_occupancy
Rb1 Rb 0.2266 0.2500 0.0373 1
U1 U 0.1880 0.7500 0.4502 1
Ag1 Ag 0.3346 0.2500 0.6386 1
Se1 Se 0.0724 0.5180 0.6921 1
Se2 Se 0.3399 0.7500 0.1836 1
Se3 Se 0.4722 0.2500 0.3811 1
```

Record 3
Diffraction record for Er3Si4Pd7. The powder diffractogram is computed, not measured: it uses a structure optimized by DFT (GGA-PBE) and copper Kα.

Largest 12 diffraction maxima, sorted by position, 2θ = 5–70°:
| hkl | two_theta | d (Å) | Rel. int. |
| --- | --- | --- | --- |
| 3 1 -2 | 30.28 | 2.951 | 19.2 |
| 3 1 0 | 30.71 | 2.911 | 20.1 |
| 0 0 3 | 35.09 | 2.557 | 16.7 |
| 1 1 2 | 35.89 | 2.502 | 100.0 |
| 6 0 -3 | 36.40 | 2.468 | 49.5 |
| 5 1 -2 | 36.75 | 2.445 | 69.7 |
| 4 0 -4 | 38.40 | 2.344 | 27.1 |
| 5 1 -3 | 39.58 | 2.277 | 18.8 |
| 6 0 0 | 42.87 | 2.110 | 35.3 |
| 0 2 0 | 45.08 | 2.011 | 47.9 |
| 6 2 0 | 63.96 | 1.456 | 21.3 |
| 9 1 -6 | 68.92 | 1.362 | 19.6 |

```
data_Er3Si4Pd7
_symmetry_space_group_name_H-M 'C 1 2/m 1'
_symmetry_Int_Tables_number 12
_symmetry_space_group_name_Hall '-C 2y'
_cell_length_a 15.4804
_cell_length_b 4.0221
_cell_length_c 9.3837
_cell_angle_alpha 90.00
_cell_angle_beta 125.15
_cell_angle_gamma 90.00
loop_
_atom_site_label
_atom_site_type_symbol
_atom_site_fract_x
_atom_site_fract_y
_atom_site_fract_z
_atom_site_occupancy
Er1 Er 0.0000 0.0000 0.0000 1
Er2 Er 0.1747 0.5000 0.6723 1
Si1 Si 0.1098 0.0000 0.8267 1
Si2 Si 0.1652 0.5000 0.2686 1
Pd1 Pd 0.0000 0.0000 0.5000 1
Pd2 Pd 0.0085 0.5000 0.2761 1
Pd3 Pd 0.1700 0.0000 0.4224 1
Pd4 Pd 0.1941 0.5000 0.0363 1
```